For Co5Pd7, a structure optimized by DFT (GGA-PBE) gives the theoretical powder X-ray diffraction pattern in this record (copper Kα).
Kinematic intensities with the Lorentz-polarization factor, no thermal factor.

Peak list (10 most intense, 15 to 90 degrees two-theta, by intensity)
2θ = 43.61°, I 100
2θ = 41.12°, I 69
2θ = 43.02°, I 66
2θ = 42.62°, I 28
2θ = 36.24°, I 23
2θ = 37.74°, I 22
2θ = 44.55°, I 21
2θ = 60.71°, I 19
2θ = 76.66°, I 18
2θ = 30.66°, I 18

Structure:
Cell lengths 4.162, 4.162, 11.519 Å; angles 101.79, 101.79, 63.66 degrees
Fractional coordinates of all 12 atoms:
Co 0.000 0.000 0.000
Co 0.129 0.129 0.444
Co 0.369 0.369 0.161
Co 0.631 0.631 0.839
Co 0.871 0.871 0.556
Pd 0.052 0.052 0.223
Pd 0.255 0.255 0.668
Pd 0.317 0.317 0.925
Pd 0.500 0.500 0.500
Pd 0.683 0.683 0.075
Pd 0.745 0.745 0.332
Pd 0.948 0.948 0.777

For Ba2Pb3Au2, a structure optimized by DFT (GGA-PBE) gives the theoretical powder X-ray diffraction pattern in this record (copper Kα).
Kinematic intensities with the Lorentz-polarization factor, no thermal factor.

Peak list (10 most intense, 15 to 90 degrees two-theta, by intensity)
2θ = 28.73°, I 100
2θ = 40.33°, I 49
2θ = 34.61°, I 36
2θ = 37.85°, I 26
2θ = 32.06°, I 23
2θ = 52.22°, I 21
2θ = 17.56°, I 20
2θ = 72.10°, I 16
2θ = 47.89°, I 15
2θ = 58.46°, I 14

Structure:
Cell lengths 11.464, 11.464, 7.880 Å; angles 90.00, 90.00, 153.87 degrees
Fractional coordinates of all 14 atoms:
Ba 0.057 0.943 0.750
Ba 0.165 0.835 0.250
Ba 0.835 0.165 0.750
Ba 0.943 0.057 0.250
Pb 0.225 0.775 0.750
Pb 0.435 0.565 0.561
Pb 0.435 0.565 0.939
Pb 0.565 0.435 0.061
Pb 0.565 0.435 0.439
Pb 0.775 0.225 0.250
Au 0.310 0.690 0.062
Au 0.310 0.690 0.438
Au 0.690 0.310 0.562
Au 0.690 0.310 0.938

For AlCr2Se4, a structure optimized by DFT (GGA-PBE) gives the theoretical powder X-ray diffraction pattern in this record (copper Kα).
Kinematic intensities with the Lorentz-polarization factor, no thermal factor.

Peak list (10 most intense, 15 to 90 degrees two-theta, by intensity)
2θ = 33.65°, I 100
2θ = 48.32°, I 87
2θ = 29.03°, I 54
2θ = 80.66°, I 26
2θ = 60.17°, I 22
2θ = 57.37°, I 21
2θ = 44.17°, I 20
2θ = 27.77°, I 19
2θ = 70.74°, I 13
2θ = 78.22°, I 8

Structure:
Cell lengths 7.534, 7.534, 7.531 Å; angles 119.97, 119.97, 90.06 degrees
Fractional coordinates of all 14 atoms:
Al 0.125 0.875 0.750
Al 0.875 0.125 0.250
Cr 0.000 0.500 0.000
Cr 0.500 0.000 0.500
Cr 0.500 0.500 0.000
Cr 0.500 0.500 0.500
Se 0.258 0.275 0.017
Se 0.258 0.742 0.016
Se 0.258 0.742 0.484
Se 0.275 0.258 0.517
Se 0.725 0.742 0.483
Se 0.742 0.258 0.516
Se 0.742 0.258 0.984
Se 0.742 0.725 0.983

For Ba6NaAu2, a structure optimized by DFT (GGA-PBE) gives the theoretical powder X-ray diffraction pattern in this record (copper Kα).
Kinematic intensities with the Lorentz-polarization factor, no thermal factor.

Peak list (10 most intense, 15 to 90 degrees two-theta, by intensity)
2θ = 24.17°, I 100
2θ = 32.01°, I 73
2θ = 25.55°, I 56
2θ = 36.73°, I 42
2θ = 32.52°, I 34
2θ = 42.21°, I 32
2θ = 63.20°, I 26
2θ = 37.36°, I 24
2θ = 44.70°, I 22
2θ = 31.56°, I 20

Structure:
Cell lengths 8.906, 8.906, 8.906 Å; angles 56.82, 56.82, 56.82 degrees
Fractional coordinates of all 9 atoms:
Ba 0.000 0.430 0.570
Ba 0.151 0.849 0.500
Ba 0.430 0.570 0.000
Ba 0.500 0.151 0.849
Ba 0.570 0.000 0.430
Ba 0.849 0.500 0.151
Na 0.999 0.999 0.999
Au 0.431 0.431 0.431
Au 0.569 0.569 0.569

For NdSmDy5Ho2, a structure optimized by DFT (GGA-PBE) gives the theoretical powder X-ray diffraction pattern in this record (copper Kα).
Kinematic intensities with the Lorentz-polarization factor, no thermal factor.

Peak list (10 most intense, 15 to 90 degrees two-theta, by intensity)
2θ = 31.54°, I 100
2θ = 28.80°, I 46
2θ = 28.13°, I 44
2θ = 58.17°, I 25
2θ = 36.63°, I 20
2θ = 51.97°, I 16
2θ = 38.04°, I 15
2θ = 49.81°, I 15
2θ = 41.97°, I 15
2θ = 81.77°, I 11

Structure:
Cell lengths 9.688, 9.688, 9.688 Å; angles 124.82, 124.82, 81.83 degrees
Fractional coordinates of all 18 atoms:
Nd 0.250 0.250 0.000
Nd 0.750 0.750 0.000
Sm 0.250 0.750 0.500
Sm 0.750 0.250 0.500
Dy 0.000 0.000 0.000
Dy 0.072 0.572 0.907
Dy 0.166 0.072 0.500
Dy 0.334 0.834 0.907
Dy 0.428 0.334 0.500
Dy 0.500 0.500 0.000
Dy 0.572 0.666 0.500
Dy 0.666 0.166 0.093
Dy 0.834 0.928 0.500
Dy 0.928 0.428 0.093
Ho 0.113 0.387 0.500
Ho 0.387 0.887 0.275
Ho 0.613 0.113 0.725
Ho 0.887 0.613 0.500

For Ca4InSn3, a structure optimized by DFT (GGA-PBE) gives the theoretical powder X-ray diffraction pattern in this record (copper Kα).
Kinematic intensities with the Lorentz-polarization factor, no thermal factor.

Peak list (10 most intense, 15 to 90 degrees two-theta, by intensity)
2θ = 33.64°, I 100
2θ = 32.32°, I 36
2θ = 22.42°, I 29
2θ = 58.49°, I 20
2θ = 30.50°, I 19
2θ = 32.55°, I 18
2θ = 24.75°, I 16
2θ = 31.50°, I 12
2θ = 65.06°, I 11
2θ = 61.48°, I 11

Structure:
Cell lengths 11.079, 7.193, 5.680 Å; angles 90.00, 90.00, 90.00 degrees
Fractional coordinates of all 16 atoms:
Ca 0.000 0.249 0.000
Ca 0.000 0.751 0.000
Ca 0.250 0.250 0.394
Ca 0.250 0.750 0.394
Ca 0.500 0.249 0.000
Ca 0.500 0.751 0.000
Ca 0.750 0.250 0.606
Ca 0.750 0.750 0.606
In 0.000 0.500 0.500
In 0.500 0.500 0.500
Sn 0.000 0.000 0.500
Sn 0.250 0.000 0.879
Sn 0.250 0.500 0.885
Sn 0.500 0.000 0.500
Sn 0.750 0.000 0.121
Sn 0.750 0.500 0.115

For AlVNi2Br, a structure optimized by DFT (GGA-PBE) gives the theoretical powder X-ray diffraction pattern in this record (copper Kα).
Kinematic intensities with the Lorentz-polarization factor, no thermal factor.

Peak list (10 most intense, 15 to 90 degrees two-theta, by intensity)
2θ = 17.50°, I 100
2θ = 42.47°, I 94
2θ = 27.36°, I 85
2θ = 35.42°, I 80
2θ = 56.45°, I 78
2θ = 34.66°, I 65
2θ = 73.12°, I 34
2θ = 46.26°, I 32
2θ = 61.62°, I 29
2θ = 51.26°, I 28

Structure:
Cell lengths 4.257, 4.257, 5.069 Å; angles 90.00, 90.00, 90.00 degrees
Fractional coordinates of all 5 atoms:
Al 0.000 0.000 0.000
V 0.500 0.500 0.000
Ni 0.000 0.500 0.500
Ni 0.500 0.000 0.500
Br 0.000 0.000 0.500

For Au2CS, a structure optimized by DFT (GGA-PBE) gives the theoretical powder X-ray diffraction pattern in this record (copper Kα).
Kinematic intensities with the Lorentz-polarization factor, no thermal factor.

Peak list (10 most intense, 15 to 90 degrees two-theta, by intensity)
2θ = 30.56°, I 100
2θ = 54.31°, I 30
2θ = 36.00°, I 27
2θ = 43.76°, I 17
2θ = 66.89°, I 17
2θ = 47.92°, I 16
2θ = 57.90°, I 14
2θ = 83.41°, I 11
2θ = 72.22°, I 8
2θ = 18.57°, I 8

Structure:
Cell lengths 5.851, 5.851, 5.851 Å; angles 119.99, 119.99, 90.02 degrees
Fractional coordinates of all 8 atoms:
Au 0.059 0.625 0.934
Au 0.375 0.309 0.434
Au 0.691 0.125 0.066
Au 0.875 0.941 0.566
C 0.000 0.000 0.000
C 0.750 0.250 0.500
S 0.250 0.750 0.500
S 0.500 0.500 0.000

For CsNaTi2Cl8, a structure optimized by DFT (GGA-PBE) gives the theoretical powder X-ray diffraction pattern in this record (copper Kα).
Kinematic intensities with the Lorentz-polarization factor, no thermal factor.

Peak list (10 most intense, 15 to 90 degrees two-theta, by intensity)
2θ = 27.80°, I 100
2θ = 19.32°, I 87
2θ = 32.06°, I 52
2θ = 45.61°, I 43
2θ = 46.32°, I 41
2θ = 27.26°, I 37
2θ = 26.25°, I 34
2θ = 54.58°, I 26
2θ = 28.61°, I 22
2θ = 32.80°, I 20

Structure:
Cell lengths 10.570, 10.570, 10.570 Å; angles 37.47, 37.47, 37.47 degrees
Fractional coordinates of all 12 atoms:
Cs 0.000 0.000 0.000
Na 0.500 0.500 0.500
Ti 0.246 0.246 0.246
Ti 0.754 0.754 0.754
Cl 0.095 0.449 0.782
Cl 0.218 0.905 0.551
Cl 0.324 0.324 0.324
Cl 0.449 0.782 0.095
Cl 0.551 0.218 0.905
Cl 0.676 0.676 0.676
Cl 0.782 0.095 0.449
Cl 0.905 0.551 0.218

For Pu5Sb3Pt, a structure optimized by DFT (GGA-PBE) gives the theoretical powder X-ray diffraction pattern in this record (copper Kα).
Kinematic intensities with the Lorentz-polarization factor, no thermal factor.

Peak list (10 most intense, 15 to 90 degrees two-theta, by intensity)
2θ = 34.20°, I 100
2θ = 33.27°, I 69
2θ = 32.55°, I 65
2θ = 48.46°, I 31
2θ = 68.73°, I 17
2θ = 52.68°, I 17
2θ = 51.37°, I 14
2θ = 51.87°, I 13
2θ = 60.06°, I 13
2θ = 66.07°, I 10

Structure:
Cell lengths 9.327, 9.327, 6.339 Å; angles 90.00, 90.00, 120.00 degrees
Fractional coordinates of all 18 atoms:
Pu 0.000 0.260 0.250
Pu 0.000 0.740 0.750
Pu 0.260 0.000 0.250
Pu 0.260 0.260 0.750
Pu 0.333 0.667 0.000
Pu 0.333 0.667 0.500
Pu 0.667 0.333 0.000
Pu 0.667 0.333 0.500
Pu 0.740 0.000 0.750
Pu 0.740 0.740 0.250
Sb 0.000 0.388 0.750
Sb 0.000 0.612 0.250
Sb 0.388 0.000 0.750
Sb 0.388 0.388 0.250
Sb 0.612 0.000 0.250
Sb 0.612 0.612 0.750
Pt 0.000 0.000 0.000
Pt 0.000 0.000 0.500

For LaHg5, a structure optimized by DFT (GGA-PBE) gives the theoretical powder X-ray diffraction pattern in this record (copper Kα).
Kinematic intensities with the Lorentz-polarization factor, no thermal factor.

Peak list (10 most intense, 15 to 90 degrees two-theta, by intensity)
2θ = 34.87°, I 100
2θ = 31.74°, I 66
2θ = 58.57°, I 46
2θ = 45.50°, I 25
2θ = 64.46°, I 16
2θ = 75.38°, I 11
2θ = 73.64°, I 11
2θ = 77.15°, I 10
2θ = 66.30°, I 8
2θ = 54.50°, I 6

Structure:
Cell lengths 3.987, 3.987, 10.102 Å; angles 90.00, 90.00, 90.00 degrees
Fractional coordinates of all 6 atoms:
La 0.000 0.000 0.000
Hg 0.000 0.000 0.338
Hg 0.000 0.000 0.662
Hg 0.500 0.500 0.182
Hg 0.500 0.500 0.500
Hg 0.500 0.500 0.818

For Li2B4O7, a structure optimized by DFT (GGA-PBE) gives the theoretical powder X-ray diffraction pattern in this record (copper Kα).
Kinematic intensities with the Lorentz-polarization factor, no thermal factor.

Peak list (10 most intense, 15 to 90 degrees two-theta, by intensity)
2θ = 21.03°, I 100
2θ = 33.91°, I 35
2θ = 32.47°, I 32
2θ = 24.83°, I 32
2θ = 54.69°, I 11
2θ = 42.23°, I 11
2θ = 43.41°, I 10
2θ = 22.31°, I 9
2θ = 42.81°, I 8
2θ = 46.49°, I 8

Structure:
Cell lengths 8.668, 8.668, 8.668 Å; angles 112.86, 112.86, 102.88 degrees
Fractional coordinates of all 52 atoms:
Li 0.085 0.569 0.155
Li 0.181 0.165 0.345
Li 0.319 0.665 0.984
Li 0.415 0.931 0.845
Li 0.585 0.431 0.516
Li 0.681 0.335 0.016
Li 0.819 0.835 0.655
Li 0.915 0.069 0.484
B 0.045 0.611 0.661
B 0.134 0.295 0.934
B 0.283 0.536 0.590
B 0.286 0.196 0.752
B 0.361 0.200 0.066
B 0.444 0.533 0.248
B 0.446 0.036 0.252
B 0.450 0.111 0.566
B 0.545 0.884 0.434
B 0.634 0.700 0.839
B 0.783 0.194 0.748
B 0.786 0.033 0.090
B 0.861 0.795 0.161
B 0.944 0.696 0.910
B 0.946 0.694 0.410
B 0.950 0.384 0.339
O 0.060 0.654 0.849
O 0.142 0.394 0.400
O 0.144 0.244 0.752
O 0.170 0.170 0.000
O 0.248 0.657 0.717
O 0.281 0.498 0.091
O 0.305 0.154 0.594
O 0.404 0.055 0.094
O 0.407 0.190 0.909
O 0.420 0.920 0.500
O 0.440 0.157 0.409
O 0.461 0.555 0.651
O 0.492 0.392 0.248
O 0.494 0.894 0.252
O 0.560 0.711 0.406
O 0.642 0.242 0.748
O 0.644 0.892 0.900
O 0.670 0.670 0.000
O 0.748 0.031 0.591
O 0.781 0.690 0.783
O 0.805 0.211 0.151
O 0.904 0.810 0.349
O 0.907 0.998 0.217
O 0.920 0.420 0.500
O 0.940 0.531 0.283
O 0.961 0.310 0.906
O 0.992 0.744 0.100
O 0.994 0.742 0.600